This entry pairs a crystal structure of Ca3Mn3As4O16 with its calculated X-ray powder pattern. Radiation: Cu Kα X-rays. Structure: a crystal structure in Alexandria, relaxed with PBE+U.
Peak positions follow from Bragg's law for the DFT cell and can differ from measured ones.

Cell and atoms:
a = 9.2542 Å, b = 5.2601 Å, c = 17.6046 Å
α = 90.00°, β = 117.03°, γ = 90.00°
Sites, in units of the cell vectors:
Ca  0.0000  0.0000  0.0000
Ca  0.0000  0.5000  0.5000
Ca  0.3116  0.0417  0.2706
Ca  0.3116  0.4583  0.7706
Ca  0.6884  0.5417  0.2294
Ca  0.6884  0.9583  0.7294
Mn  0.1945  0.5179  0.3773
Mn  0.1945  0.9821  0.8773
Mn  0.5000  0.0000  0.5000
Mn  0.5000  0.5000  0.0000
Mn  0.8055  0.0179  0.1227
Mn  0.8055  0.4821  0.6227
As  0.0337  0.5096  0.1542
As  0.0337  0.9904  0.6542
As  0.4369  0.5075  0.6007
As  0.4369  0.9925  0.1007
As  0.5631  0.0075  0.8993
As  0.5631  0.4925  0.3993
As  0.9663  0.0096  0.3458
As  0.9663  0.4904  0.8458
O  0.0326  0.6615  0.6410
O  0.0326  0.8385  0.1410
O  0.0868  0.1526  0.5880
O  0.0868  0.3474  0.0880
O  0.1560  0.5785  0.8560
O  0.1560  0.9215  0.3560
O  0.1794  0.0613  0.7565
O  0.1794  0.4387  0.2565
O  0.2573  0.5477  0.5104
O  0.2573  0.9523  0.0104
O  0.4207  0.1985  0.9127
O  0.4207  0.3015  0.4127
O  0.4343  0.6123  0.6910
O  0.4343  0.8877  0.1910
O  0.4892  0.7024  0.8928
O  0.4892  0.7976  0.3928
O  0.5108  0.2024  0.6072
O  0.5108  0.2976  0.1072
O  0.5657  0.1123  0.8090
O  0.5657  0.3877  0.3090
O  0.5793  0.6985  0.5873
O  0.5793  0.8015  0.0873
O  0.7427  0.0477  0.9896
O  0.7427  0.4523  0.4896
O  0.8206  0.5613  0.7435
O  0.8206  0.9387  0.2435
O  0.8440  0.0785  0.6440
O  0.8440  0.4215  0.1440
O  0.9132  0.6526  0.9120
O  0.9132  0.8474  0.4120
O  0.9674  0.1615  0.8590
O  0.9674  0.3385  0.3590

Peak list (10 most intense, 2θ = 15–90°, by angle)
hkl 0 1 1, 4.987 Å, 17.8°, I 31
hkl 2 0 0, 4.122 Å, 21.6°, I 48
hkl 0 0 4, 3.920 Å, 22.7°, I 39
hkl 1 1 -3, 3.882 Å, 22.9°, I 49
hkl 2 0 -4, 3.844 Å, 23.1°, I 33
hkl 2 1 -1, 3.430 Å, 26.0°, I 98
hkl 1 1 3, 3.036 Å, 29.4°, I 83
hkl 1 1 -5, 2.919 Å, 30.6°, I 56
hkl 3 1 -3, 2.654 Å, 33.8°, I 100
hkl 0 2 0, 2.630 Å, 34.1°, I 77